Pm2Pr12Dy: computed powder diffraction line list (Cu Kα, 1.54184 Å), based on a GGA-PBE-relaxed structure.

Principal peaks in the range 2θ = 10–90°, in order of rising 2θ:
| 2θ (°) | I_rel | (hkl) |
| --- | --- | --- |
| 20.09 | 21 | 1 1 2 |
| 27.70 | 43 | 2 0 2 |
| 28.78 | 29 | 2 0 3 |
| 30.24 | 37 | 2 0 4 |
| 30.85 | 100 | 1 1 7 |
| 31.27 | 30 | 0 0 9 |
| 33.17 | 26 | 2 1 4 |
| 34.82 | 23 | 2 1 5 |
| 38.26 | 31 | 2 2 0 |
| 54.11 | 26 | 3 1 9 |

Structural model:
abc: 6.654 6.654 25.746
angles: 90.00 90.00 90.00
Space group P4/nbm (No. 125, origin choice 2)
Symmetry-distinct sites (fractional):
Pm 0.250 0.750 0.232 (multiplicity 4)
Pr 0.066 0.566 0.387 (multiplicity 8)
Pr 0.082 0.582 0.938 (multiplicity 8)
Pr 0.250 0.250 0.163 (multiplicity 4)
Pr 0.250 0.250 0.286 (multiplicity 4)
Dy 0.250 0.750 0.500 (multiplicity 2)

Pm3Pr4Dy4: computed powder diffraction line list (Cu Kα, 1.54184 Å), based on a GGA-PBE-relaxed structure.

Principal peaks in the range 2θ = 10–90°, in order of rising 2θ:
| 2θ (°) | I_rel | (hkl) |
| --- | --- | --- |
| 30.54 | 88 | 0 3 3 |
| 30.90 | 100 | 1 1 4 |
| 31.23 | 52 | 1 2 1 |
| 32.21 | 29 | 0 0 8 |
| 37.63 | 26 | 1 0 7 |
| 38.49 | 23 | 1 3 2 |
| 42.30 | 27 | 1 2 7 |
| 56.50 | 25 | 1 3 10 |
| 56.93 | 29 | 1 5 4 |
| 60.04 | 26 | 2 3 3 |

Structural model:
abc: 3.625 9.556 22.233
angles: 90.00 90.00 90.00
Space group Immm (No. 71)
Symmetry-distinct sites (fractional):
Pm 0.000 0.000 0.000 (multiplicity 2)
Pm 0.000 0.500 0.108 (multiplicity 4)
Pr 0.000 0.322 0.354 (multiplicity 8)
Dy 0.000 0.000 0.260 (multiplicity 4)
Dy 0.000 0.182 0.500 (multiplicity 4)

Pm2Pr5Dy: computed powder diffraction line list (Cu Kα, 1.54184 Å), based on a GGA-PBE-relaxed structure.

Principal peaks in the range 2θ = 10–90°, in order of rising 2θ:
| 2θ (°) | I_rel | (hkl) |
| --- | --- | --- |
| 29.76 | 100 | 2 0 1 |
| 34.50 | 51 | 2 4 0 |
| 49.58 | 30 | 2 4 2 |
| 49.69 | 6 | 4 0 0 |
| 58.88 | 29 | 2 0 3 |
| 58.99 | 14 | 4 4 1 |
| 61.82 | 12 | 4 0 2 |
| 80.50 | 15 | 4 4 3 |
| 83.01 | 8 | 2 4 4 |
| 83.11 | 5 | 4 8 2 |

Structural model:
abc: 7.340 14.711 5.206
angles: 90.00 90.00 90.00
Space group Pbam (No. 55)
Symmetry-distinct sites (fractional):
Pm 0.250 0.124 0.000 (multiplicity 4)
Pr 0.000 0.000 0.500 (multiplicity 2)
Pr 0.000 0.252 0.500 (multiplicity 4)
Pr 0.249 0.376 0.000 (multiplicity 4)
Dy 0.000 0.500 0.500 (multiplicity 2)

PmPr7Dy12: computed powder diffraction line list (Cu Kα, 1.54184 Å), based on a GGA-PBE-relaxed structure.

Principal peaks in the range 2θ = 10–90°, in order of rising 2θ:
| 2θ (°) | I_rel | (hkl) |
| --- | --- | --- |
| 27.75 | 15 | 0 2 4 |
| 28.68 | 25 | 0 1 5 |
| 30.46 | 38 | 0 3 3 |
| 31.32 | 100 | 4 -3 1 |
| 31.52 | 47 | 3 -1 4 |
| 32.35 | 21 | 2 0 5 |
| 32.77 | 51 | 3 1 2 |
| 36.25 | 16 | 2 -1 6 |
| 41.67 | 15 | 3 1 5 |
| 54.81 | 17 | 2 5 0 |

Structural model:
abc: 12.0784 12.0784 16.3044
angles: 90.00 90.00 120.00
Space group R-3 (No. 148, hexagonal axes)
Symmetry-distinct sites (fractional):
Pm 0.0000 0.0000 0.0000 (multiplicity 3)
Pr 0.0000 0.0000 0.5000 (multiplicity 3)
Pr 0.0540 0.1873 0.7892 (multiplicity 18)
Dy 0.0229 0.4470 0.7220 (multiplicity 18)
Dy 0.0510 0.5868 0.0828 (multiplicity 18)

Pm6PrDy6: computed powder diffraction line list (Cu Kα, 1.54184 Å), based on a GGA-PBE-relaxed structure.

Principal peaks in the range 2θ = 10–90°, in order of rising 2θ:
| 2θ (°) | I_rel | (hkl) |
| --- | --- | --- |
| 28.64 | 74 | 0 2 3 |
| 29.78 | 92 | 2 2 0 |
| 31.37 | 31 | 1 3 2 |
| 31.88 | 67 | 0 4 0 |
| 33.87 | 100 | 2 2 2 |
| 34.80 | 29 | 2 0 3 |
| 35.76 | 40 | 0 4 2 |
| 51.47 | 24 | 4 0 0 |
| 58.70 | 23 | 2 4 5 |
| 59.95 | 25 | 4 2 3 |

Structural model:
abc: 7.100 11.216 11.247
angles: 90.00 90.00 90.00
Space group Cmmm (No. 65)
Symmetry-distinct sites (fractional):
Pm 0.000 0.000 0.166 (multiplicity 4)
Pm 0.000 0.267 0.000 (multiplicity 4)
Pm 0.000 0.358 0.500 (multiplicity 4)
Pr 0.000 0.000 0.500 (multiplicity 2)
Dy 0.000 0.500 0.200 (multiplicity 4)
Dy 0.250 0.250 0.274 (multiplicity 8)

PmPr8Dy4: computed powder diffraction line list (Cu Kα, 1.54184 Å), based on a GGA-PBE-relaxed structure.

Principal peaks in the range 2θ = 10–90°, in order of rising 2θ:
| 2θ (°) | I_rel | (hkl) |
| --- | --- | --- |
| 24.46 | 22 | 1 1 -1 |
| 28.96 | 68 | -1 1 3 |
| 29.26 | 100 | 1 -1 3 |
| 29.34 | 78 | 2 0 0 |
| 31.47 | 61 | 1 1 2 |
| 31.62 | 40 | 2 0 -2 |
| 31.76 | 51 | 1 1 -3 |
| 32.17 | 83 | 2 -2 0 |
| 49.38 | 23 | 2 2 -1 |
| 60.23 | 19 | 4 0 -1 |

Structural model:
abc: 6.672 6.684 11.163
angles: 94.42 95.47 112.88
Space group P1 (No. 1)
Symmetry-distinct sites (fractional):
Pm 0.000 0.000 0.000 (multiplicity 1)
Pr 0.154 0.647 0.640 (multiplicity 1)
Pr 0.219 0.199 0.779 (multiplicity 1)
Pr 0.316 0.821 0.312 (multiplicity 1)
Pr 0.326 0.315 0.211 (multiplicity 1)
Pr 0.666 0.130 0.645 (multiplicity 1)
Pr 0.673 0.644 0.791 (multiplicity 1)
Pr 0.759 0.746 0.199 (multiplicity 1)
Pr 0.834 0.304 0.318 (multiplicity 1)
Dy 0.121 0.099 0.486 (multiplicity 1)
Dy 0.250 0.653 0.984 (multiplicity 1)
Dy 0.617 0.604 0.491 (multiplicity 1)
Dy 0.660 0.237 0.991 (multiplicity 1)

Pm3Pr2Dy8: computed powder diffraction line list (Cu Kα, 1.54184 Å), based on a GGA-PBE-relaxed structure.

Principal peaks in the range 2θ = 10–90°, in order of rising 2θ:
| 2θ (°) | I_rel | (hkl) |
| --- | --- | --- |
| 24.66 | 18 | 2 0 0 |
| 29.20 | 29 | 1 1 -3 |
| 30.42 | 31 | 0 1 3 |
| 31.88 | 39 | 0 2 0 |
| 33.09 | 100 | 2 1 1 |
| 34.68 | 13 | 0 0 4 |
| 40.73 | 12 | 2 2 0 |
| 47.81 | 10 | 0 2 4 |
| 57.58 | 21 | 2 3 1 |
| 63.63 | 10 | 3 2 -6 |

Structural model:
abc: 7.705 5.615 11.039
angles: 90.00 110.39 90.00
Space group P2/m (No. 10)
Symmetry-distinct sites (fractional):
Pm 0.000 0.000 0.000 (multiplicity 1)
Pm 0.292 0.500 0.000 (multiplicity 2)
Pr 0.242 0.000 0.482 (multiplicity 2)
Dy 0.130 0.500 0.260 (multiplicity 2)
Dy 0.182 0.000 0.786 (multiplicity 2)
Dy 0.337 0.500 0.673 (multiplicity 2)
Dy 0.396 0.000 0.214 (multiplicity 2)

Pm16Pr6Dy7: computed powder diffraction line list (Cu Kα, 1.54184 Å), based on a GGA-PBE-relaxed structure.

Principal peaks in the range 2θ = 10–90°, in order of rising 2θ:
| 2θ (°) | I_rel | (hkl) |
| --- | --- | --- |
| 27.20 | 7 | 4 2 2 |
| 28.88 | 13 | 3 3 3 |
| 31.51 | 100 | 4 4 0 |
| 32.99 | 6 | 5 3 1 |
| 43.26 | 6 | 7 3 1 |
| 45.16 | 14 | 8 0 0 |
| 56.10 | 25 | 8 4 4 |
| 59.53 | 6 | 7 7 3 |
| 65.77 | 7 | 8 8 0 |
| 74.76 | 7 | 12 4 0 |

Structural model:
abc: 16.063 16.063 16.063
angles: 90.00 90.00 90.00
Space group Fm-3m (No. 225)
Symmetry-distinct sites (fractional):
Pm 0.126 0.126 0.126 (multiplicity 32)
Pm 0.152 0.152 0.348 (multiplicity 32)
Pr 0.000 0.000 0.273 (multiplicity 24)
Dy 0.000 0.000 0.000 (multiplicity 4)
Dy 0.000 0.250 0.250 (multiplicity 24)